[1]
Theoretical powder XRD pattern
Compound: LiMg6C
Radiation: Cu Ka
Structure: a cell relaxed with PBE
Peak positions follow from Bragg's law for the DFT cell and can differ from measured ones.

Crystal structure
Cell lengths 4.5884, 6.1773, 6.1773 Å; angles 60.63, 90.00, 90.00 degrees
Fractional positions:
Li  0.0000  0.0000  0.0000
Mg  0.0000  0.5025  0.9995
Mg  0.0000  0.9995  0.5025
Mg  0.5000  0.3365  0.8120
Mg  0.5000  0.3428  0.3428
Mg  0.5000  0.8120  0.3365
Mg  0.5000  0.8359  0.8359
C  0.0000  0.4992  0.4992

The 10 most intense peaks (5 to 70 degrees two-theta), by angle:
2θ = 19.3°, intensity 8
2θ = 25.6°, intensity 13
2θ = 33.3°, intensity 27
2θ = 33.6°, intensity 15
2θ = 38.8°, intensity 100
2θ = 39.1°, intensity 46
2θ = 39.3°, intensity 32
2θ = 52.4°, intensity 14
2θ = 59.3°, intensity 9
2θ = 59.9°, intensity 16


[2]
Theoretical powder XRD pattern
Compound: ScCuSn
Radiation: Cu Ka
Structure: a cell relaxed with PBE
Peak positions follow from Bragg's law for the DFT cell and can differ from measured ones.

Crystal structure
Cell lengths 4.4175, 4.4175, 6.8695 Å; angles 90.00, 90.00, 120.00 degrees
Fractional positions:
Sc  0.0000  0.0000  0.0000
Sc  0.0000  0.0000  0.5000
Cu  0.3333  0.6667  0.3297
Cu  0.6667  0.3333  0.8297
Sn  0.3333  0.6667  0.7315
Sn  0.6667  0.3333  0.2315

The 10 most intense peaks (5 to 70 degrees two-theta), by angle:
2θ = 23.3°, intensity 19
2θ = 25.9°, intensity 26
2θ = 26.7°, intensity 48
2θ = 35.1°, intensity 84
2θ = 40.9°, intensity 100
2θ = 46.2°, intensity 47
2θ = 49.0°, intensity 29
2θ = 54.9°, intensity 22
2θ = 63.4°, intensity 18
2θ = 69.3°, intensity 12


[3]
Theoretical powder XRD pattern
Compound: Tm2S3O20
Radiation: Cu Ka
Structure: a cell relaxed with PBE
Peak positions follow from Bragg's law for the DFT cell and can differ from measured ones.

Crystal structure
Cell lengths 7.4636, 7.4636, 18.1823 Å; angles 98.31, 98.31, 52.22 degrees
Fractional positions:
Tm  0.1511  0.1884  0.3949
Tm  0.1884  0.1511  0.8949
Tm  0.8116  0.8489  0.1051
Tm  0.8489  0.8116  0.6051
S  0.1881  0.2447  0.0907
S  0.2447  0.1881  0.5907
S  0.2869  0.7131  0.7500
S  0.7131  0.2869  0.2500
S  0.7553  0.8119  0.4093
S  0.8119  0.7553  0.9093
O  0.0727  0.7641  0.7105
O  0.0922  0.2364  0.0141
O  0.0937  0.4402  0.5906
O  0.1095  0.8843  0.3721
O  0.1117  0.1837  0.1471
O  0.1137  0.4797  0.1144
O  0.1157  0.8905  0.1279
O  0.1263  0.8024  0.5628
O  0.1837  0.1117  0.6471
O  0.1976  0.8737  0.9372
O  0.2364  0.0922  0.5141
O  0.2359  0.9273  0.7895
O  0.2656  0.3410  0.8159
O  0.3080  0.3785  0.4299
O  0.3410  0.2656  0.3159
O  0.3785  0.3080  0.9299
O  0.3831  0.5365  0.8045
O  0.4402  0.0937  0.0906
O  0.4635  0.6169  0.6955
O  0.4797  0.1137  0.6144
O  0.5203  0.8863  0.3856
O  0.5365  0.3831  0.3045
O  0.5598  0.9063  0.9094
O  0.6169  0.4635  0.1955
O  0.6215  0.6920  0.0701
O  0.6590  0.7343  0.6841
O  0.6920  0.6215  0.5701
O  0.7343  0.6590  0.1841
O  0.7641  0.0727  0.2105
O  0.7636  0.9078  0.4859
O  0.8024  0.1263  0.0628
O  0.8163  0.8883  0.3529
O  0.8737  0.1976  0.4372
O  0.8843  0.1095  0.8721
O  0.8863  0.5203  0.8856
O  0.8883  0.8163  0.8529
O  0.8905  0.1157  0.6279
O  0.9063  0.5598  0.4094
O  0.9078  0.7636  0.9859
O  0.9273  0.2359  0.2895

The 10 most intense peaks (5 to 70 degrees two-theta), by angle:
2θ = 13.4°, intensity 54
2θ = 15.1°, intensity 67
2θ = 15.3°, intensity 100
2θ = 18.6°, intensity 89
2θ = 19.8°, intensity 64
2θ = 24.1°, intensity 31
2θ = 24.3°, intensity 64
2θ = 25.7°, intensity 42
2θ = 27.2°, intensity 43
2θ = 36.5°, intensity 29


[4]
Theoretical powder XRD pattern
Compound: Dy3TaO7
Radiation: Cu Ka
Structure: a cell relaxed with PBE
Peak positions follow from Bragg's law for the DFT cell and can differ from measured ones.

Crystal structure
Cell lengths 7.4571, 10.5841, 7.5870 Å; angles 90.00, 90.00, 90.00 degrees
Fractional positions:
Dy  0.0158  0.2500  0.2028
Dy  0.2476  0.0208  0.5314
Dy  0.2476  0.4792  0.5314
Dy  0.2524  0.5208  0.0314
Dy  0.2524  0.9792  0.0314
Dy  0.4842  0.7500  0.7028
Dy  0.5158  0.2500  0.2972
Dy  0.7476  0.0208  0.9686
Dy  0.7476  0.4792  0.9686
Dy  0.7524  0.5208  0.4686
Dy  0.7524  0.9792  0.4686
Dy  0.9842  0.7500  0.7972
Ta  0.0021  0.2500  0.7500
Ta  0.4979  0.7500  0.2500
Ta  0.5021  0.2500  0.7500
Ta  0.9979  0.7500  0.2500
O  0.0367  0.1248  0.9539
O  0.0367  0.3752  0.9539
O  0.0397  0.6106  0.4116
O  0.0397  0.8894  0.4116
O  0.2423  0.6160  0.7667
O  0.2423  0.8840  0.7667
O  0.2488  0.2500  0.6650
O  0.2512  0.7500  0.1650
O  0.2577  0.1160  0.2667
O  0.2577  0.3840  0.2667
O  0.4603  0.1106  0.9116
O  0.4603  0.3894  0.9116
O  0.4633  0.6248  0.4539
O  0.4633  0.8752  0.4539
O  0.5367  0.1248  0.5461
O  0.5367  0.3752  0.5461
O  0.5397  0.6106  0.0884
O  0.5397  0.8894  0.0884
O  0.7423  0.6160  0.7333
O  0.7423  0.8840  0.7333
O  0.7488  0.2500  0.8350
O  0.7512  0.7500  0.3350
O  0.7577  0.1160  0.2333
O  0.7577  0.3840  0.2333
O  0.9603  0.1106  0.5884
O  0.9603  0.3894  0.5884
O  0.9633  0.6248  0.0461
O  0.9633  0.8752  0.0461

The 10 most intense peaks (5 to 70 degrees two-theta), by angle:
2θ = 29.0°, intensity 96
2θ = 29.3°, intensity 100
2θ = 33.7°, intensity 49
2θ = 33.9°, intensity 25
2θ = 48.5°, intensity 49
2θ = 48.9°, intensity 16
2θ = 57.2°, intensity 17
2θ = 57.6°, intensity 11
2θ = 57.8°, intensity 38
2θ = 60.8°, intensity 10


[5]
Theoretical powder XRD pattern
Compound: NaMg6Al3Si6B3O30
Radiation: Cu Ka
Structure: a cell relaxed with PBE
Peak positions follow from Bragg's law for the DFT cell and can differ from measured ones.

Crystal structure
Cell lengths 10.3394, 10.3394, 10.3394 Å; angles 113.59, 113.59, 113.59 degrees
Fractional positions:
Na  0.0000  0.0000  0.0000
Mg  0.2230  0.6004  0.9678
Mg  0.2323  0.9594  0.5947
Mg  0.5947  0.2323  0.9594
Mg  0.6004  0.9678  0.2230
Mg  0.9594  0.5947  0.2323
Mg  0.9678  0.2230  0.6004
Al  0.0557  0.3783  0.2229
Al  0.2229  0.0557  0.3783
Al  0.3783  0.2229  0.0557
Si  0.4183  0.6074  0.7860
Si  0.4332  0.7995  0.6116
Si  0.6074  0.7860  0.4183
Si  0.6116  0.4332  0.7995
Si  0.7860  0.4183  0.6074
Si  0.7995  0.6116  0.4332
B  0.0519  0.2201  0.3904
B  0.2201  0.3904  0.0519
B  0.3904  0.0519  0.2201
O  0.0718  0.0900  0.3963
O  0.0772  0.2439  0.2731
O  0.0900  0.3963  0.0718
O  0.1350  0.8449  0.3298
O  0.1444  0.3372  0.8682
O  0.1959  0.4011  0.6045
O  0.2119  0.6249  0.4124
O  0.2439  0.2731  0.0772
O  0.2731  0.0772  0.2439
O  0.3298  0.1350  0.8449
O  0.3372  0.8682  0.1444
O  0.3963  0.0718  0.0900
O  0.4011  0.6045  0.1959
O  0.4124  0.2119  0.6249
O  0.4319  0.7155  0.9624
O  0.4571  0.9812  0.7225
O  0.4854  0.7369  0.7340
O  0.5663  0.5729  0.8406
O  0.5729  0.8406  0.5663
O  0.6045  0.1959  0.4011
O  0.6249  0.4124  0.2119
O  0.7155  0.9624  0.4319
O  0.7225  0.4571  0.9812
O  0.7340  0.4854  0.7369
O  0.7369  0.7340  0.4854
O  0.8406  0.5663  0.5729
O  0.8449  0.3298  0.1350
O  0.8682  0.1444  0.3372
O  0.9624  0.4319  0.7155
O  0.9812  0.7225  0.4571

The 10 most intense peaks (5 to 70 degrees two-theta), by angle:
2θ = 12.5°, intensity 23
2θ = 19.2°, intensity 22
2θ = 20.5°, intensity 100
2θ = 23.0°, intensity 47
2θ = 24.1°, intensity 15
2θ = 27.3°, intensity 29
2θ = 31.9°, intensity 10
2θ = 35.2°, intensity 11
2θ = 36.0°, intensity 20
2θ = 50.0°, intensity 13


- What is the formula in the second record?
  ScCuSn